# W3I11
Simulated powder X-ray diffraction pattern, Cu Kα (λ = 1.5418 Å). Input: the PBE geometry in OQMD.

Atomic structure:
Unit cell a=14.240 b=14.240 c=14.803 alpha=116.38 beta=116.38 gamma=67.01
Fractional coordinates of all 56 atoms:
1 W 0.026 0.617 0.630
2 W 0.046 0.559 0.438
3 W 0.144 0.420 0.549
4 W 0.383 0.974 0.870
5 W 0.420 0.144 0.049
6 W 0.441 0.954 0.062
7 W 0.559 0.046 0.938
8 W 0.580 0.856 0.951
9 W 0.617 0.026 0.130
10 W 0.856 0.580 0.451
11 W 0.954 0.441 0.562
12 W 0.974 0.383 0.370
13 I 0.042 0.145 0.675
14 I 0.047 0.353 0.025
15 I 0.066 0.797 0.824
16 I 0.073 0.233 0.479
17 I 0.116 0.648 0.343
18 I 0.130 0.479 0.753
19 I 0.145 0.042 0.175
20 I 0.166 0.665 0.075
21 I 0.171 0.356 0.351
22 I 0.203 0.934 0.676
23 I 0.228 0.598 0.621
24 I 0.233 0.073 0.979
25 I 0.298 0.362 0.125
26 I 0.335 0.834 0.425
27 I 0.352 0.884 0.157
28 I 0.353 0.047 0.525
29 I 0.356 0.171 0.851
30 I 0.362 0.298 0.625
31 I 0.402 0.772 0.879
32 I 0.440 0.461 0.391
33 I 0.461 0.440 0.891
34 I 0.479 0.130 0.253
35 I 0.521 0.870 0.747
36 I 0.539 0.560 0.109
37 I 0.560 0.539 0.609
38 I 0.598 0.228 0.121
39 I 0.638 0.702 0.375
40 I 0.644 0.829 0.149
41 I 0.647 0.953 0.475
42 I 0.648 0.116 0.843
43 I 0.665 0.166 0.575
44 I 0.702 0.638 0.875
45 I 0.767 0.927 0.021
46 I 0.772 0.402 0.379
47 I 0.797 0.066 0.324
48 I 0.829 0.644 0.649
49 I 0.834 0.335 0.925
50 I 0.855 0.958 0.825
51 I 0.870 0.521 0.247
52 I 0.884 0.352 0.657
53 I 0.927 0.767 0.521
54 I 0.934 0.203 0.176
55 I 0.953 0.647 0.975
56 I 0.958 0.855 0.325

Principal peaks in the range 5 to 70 degrees two-theta, most intense first:
- 8.2 deg, I 100
- 8.8 deg, I 51
- 11.6 deg, I 27
- 11.3 deg, I 17
- 24.8 deg, I 16
- 12.5 deg, I 14
- 25.4 deg, I 13
- 30.2 deg, I 10
- 15.7 deg, I 10
- 42.0 deg, I 10

***

# InIr7
Simulated powder X-ray diffraction pattern, Cu Kα (λ = 1.5418 Å). Input: the PBE geometry in OQMD.

Atomic structure:
Unit cell a=2.750 b=3.876 c=35.407 alpha=90.00 beta=90.00 gamma=90.00
Fractional coordinates of all 16 atoms:
1 In 0.250 0.250 0.203
2 In 0.750 0.750 0.797
3 Ir 0.250 0.250 0.288
4 Ir 0.250 0.250 0.365
5 Ir 0.250 0.250 0.442
6 Ir 0.250 0.250 0.519
7 Ir 0.250 0.250 0.597
8 Ir 0.250 0.250 0.674
9 Ir 0.250 0.250 0.750
10 Ir 0.750 0.750 0.250
11 Ir 0.750 0.750 0.326
12 Ir 0.750 0.750 0.403
13 Ir 0.750 0.750 0.481
14 Ir 0.750 0.750 0.558
15 Ir 0.750 0.750 0.635
16 Ir 0.750 0.750 0.712

Principal peaks in the range 5 to 70 degrees two-theta, most intense first:
- 40.2 deg, I 100
- 46.9 deg, I 73
- 40.5 deg, I 64
- 68.5 deg, I 27
- 38.3 deg, I 26
- 7.5 deg, I 19
- 45.1 deg, I 16
- 42.7 deg, I 11
- 68.2 deg, I 11
- 67.1 deg, I 10

***

# InIr7
Simulated powder X-ray diffraction pattern, Cu Kα (λ = 1.5418 Å). Input: the PBE geometry in OQMD.

Atomic structure:
Unit cell a=2.765 b=2.765 c=43.704 alpha=90.00 beta=90.00 gamma=90.00
Fractional coordinates of all 16 atoms:
1 In 0.250 0.250 0.163
2 In 0.750 0.750 0.837
3 Ir 0.250 0.250 0.258
4 Ir 0.250 0.250 0.346
5 Ir 0.250 0.250 0.434
6 Ir 0.250 0.250 0.522
7 Ir 0.250 0.250 0.610
8 Ir 0.250 0.250 0.698
9 Ir 0.250 0.250 0.785
10 Ir 0.750 0.750 0.215
11 Ir 0.750 0.750 0.302
12 Ir 0.750 0.750 0.390
13 Ir 0.750 0.750 0.478
14 Ir 0.750 0.750 0.566
15 Ir 0.750 0.750 0.654
16 Ir 0.750 0.750 0.742

Principal peaks in the range 5 to 70 degrees two-theta, most intense first:
- 39.7 deg, I 100
- 41.0 deg, I 54
- 46.5 deg, I 51
- 68.9 deg, I 19
- 67.8 deg, I 17
- 47.9 deg, I 14
- 67.2 deg, I 12
- 45.7 deg, I 9
- 8.1 deg, I 8
- 37.4 deg, I 7

***

# In2Ir7
Simulated powder X-ray diffraction pattern, Cu Kα (λ = 1.5418 Å). Input: the PBE geometry in OQMD.

Atomic structure:
Unit cell a=2.799 b=2.799 c=30.072 alpha=90.00 beta=90.00 gamma=120.00
Fractional coordinates of all 9 atoms:
1 In 0.333 0.667 0.197
2 In 0.667 0.333 0.803
3 Ir 0.000 0.000 0.280
4 Ir 0.000 0.000 0.500
5 Ir 0.000 0.000 0.720
6 Ir 0.333 0.667 0.427
7 Ir 0.333 0.667 0.647
8 Ir 0.667 0.333 0.353
9 Ir 0.667 0.333 0.573

Principal peaks in the range 5 to 70 degrees two-theta, most intense first:
- 39.0 deg, I 100
- 40.1 deg, I 92
- 46.3 deg, I 82
- 5.9 deg, I 70
- 66.9 deg, I 42
- 38.9 deg, I 33
- 68.2 deg, I 25
- 42.1 deg, I 24
- 44.5 deg, I 22
- 48.2 deg, I 18

***

# In2Ir9
Simulated powder X-ray diffraction pattern, Cu Kα (λ = 1.5418 Å). Input: the PBE geometry in OQMD.

Atomic structure:
Unit cell a=2.786 b=2.786 c=35.970 alpha=90.00 beta=90.00 gamma=120.00
Fractional coordinates of all 11 atoms:
1 In 0.333 0.667 0.316
2 In 0.667 0.333 0.684
3 Ir 0.000 0.000 0.000
4 Ir 0.000 0.000 0.185
5 Ir 0.000 0.000 0.815
6 Ir 0.333 0.667 0.123
7 Ir 0.333 0.667 0.754
8 Ir 0.333 0.667 0.938
9 Ir 0.667 0.333 0.062
10 Ir 0.667 0.333 0.246
11 Ir 0.667 0.333 0.877

Principal peaks in the range 5 to 70 degrees two-theta, most intense first:
- 39.4 deg, I 100
- 46.8 deg, I 66
- 40.3 deg, I 65
- 67.2 deg, I 36
- 40.1 deg, I 36
- 45.3 deg, I 35
- 67.0 deg, I 17
- 69.4 deg, I 15
- 42.7 deg, I 11
- 9.8 deg, I 6

***

# La3InIr
Simulated powder X-ray diffraction pattern, Cu Kα (λ = 1.5418 Å). Input: the PBE geometry in OQMD.

Atomic structure:
Unit cell a=5.949 b=5.949 c=8.833 alpha=90.00 beta=90.00 gamma=99.58
Fractional coordinates of all 10 atoms:
1 La 0.215 0.785 0.000
2 La 0.264 0.264 0.312
3 La 0.264 0.264 0.688
4 La 0.736 0.736 0.312
5 La 0.736 0.736 0.688
6 La 0.785 0.215 0.000
7 In 0.240 0.760 0.500
8 In 0.760 0.240 0.500
9 Ir 0.306 0.306 0.000
10 Ir 0.694 0.694 0.000

Principal peaks in the range 5 to 70 degrees two-theta, most intense first:
- 30.5 deg, I 100
- 36.4 deg, I 38
- 43.6 deg, I 28
- 39.7 deg, I 25
- 30.4 deg, I 25
- 30.9 deg, I 21
- 20.1 deg, I 20
- 28.2 deg, I 17
- 38.5 deg, I 17
- 19.5 deg, I 17

***

# La2In2Ir3Pd
Simulated powder X-ray diffraction pattern, Cu Kα (λ = 1.5418 Å). Input: the PBE geometry in OQMD.

Atomic structure:
Unit cell a=4.645 b=4.645 c=9.232 alpha=90.00 beta=90.00 gamma=120.00
Fractional coordinates of all 8 atoms:
1 La 0.000 0.000 0.000
2 La 0.333 0.667 0.512
3 In 0.667 0.333 0.267
4 In 0.667 0.333 0.759
5 Ir 0.000 0.000 0.347
6 Ir 0.000 0.000 0.666
7 Ir 0.333 0.667 0.840
8 Pd 0.333 0.667 0.171

Principal peaks in the range 5 to 70 degrees two-theta, most intense first:
- 36.8 deg, I 100
- 38.8 deg, I 90
- 54.5 deg, I 32
- 68.9 deg, I 32
- 22.1 deg, I 17
- 64.9 deg, I 14
- 29.5 deg, I 13
- 19.2 deg, I 10
- 45.3 deg, I 8
- 43.6 deg, I 7

***

# LaIn5IrPt
Simulated powder X-ray diffraction pattern, Cu Kα (λ = 1.5418 Å). Input: the PBE geometry in OQMD.

Atomic structure:
Unit cell a=6.991 b=6.991 c=6.991 alpha=144.18 beta=107.15 gamma=83.93
Fractional coordinates of all 8 atoms:
1 La 0.000 0.000 0.000
2 In 0.147 0.337 0.810
3 In 0.450 0.644 0.806
4 In 0.493 0.993 0.500
5 In 0.527 0.337 0.190
6 In 0.838 0.644 0.194
7 Ir 0.235 0.735 0.500
8 Pt 0.753 0.253 0.500

Principal peaks in the range 5 to 70 degrees two-theta, most intense first:
- 33.2 deg, I 100
- 42.0 deg, I 93
- 31.2 deg, I 74
- 41.0 deg, I 74
- 38.7 deg, I 66
- 29.0 deg, I 54
- 42.6 deg, I 50
- 60.1 deg, I 47
- 17.1 deg, I 35
- 21.4 deg, I 20

***

# LiInIr
Simulated powder X-ray diffraction pattern, Cu Kα (λ = 1.5418 Å). Input: the PBE geometry in OQMD.

Atomic structure:
Unit cell a=5.285 b=4.474 c=8.215 alpha=90.00 beta=90.00 gamma=90.00
Fractional coordinates of all 12 atoms:
1 Li 0.179 0.250 0.199
2 Li 0.321 0.750 0.699
3 Li 0.679 0.250 0.301
4 Li 0.821 0.750 0.801
5 In 0.133 0.250 0.870
6 In 0.367 0.750 0.370
7 In 0.633 0.250 0.630
8 In 0.867 0.750 0.130
9 Ir 0.135 0.250 0.526
10 Ir 0.365 0.750 0.026
11 Ir 0.635 0.250 0.974
12 Ir 0.865 0.750 0.474

Principal peaks in the range 5 to 70 degrees two-theta, most intense first:
- 39.6 deg, I 100
- 21.6 deg, I 69
- 42.3 deg, I 67
- 22.6 deg, I 55
- 40.3 deg, I 49
- 45.6 deg, I 40
- 37.0 deg, I 38
- 28.3 deg, I 32
- 38.5 deg, I 31
- 20.0 deg, I 28

***

# Li2Zr2In2IrPt
Simulated powder X-ray diffraction pattern, Cu Kα (λ = 1.5418 Å). Input: the PBE geometry in OQMD.

Atomic structure:
Unit cell a=4.620 b=4.620 c=6.533 alpha=90.00 beta=90.00 gamma=90.00
Fractional coordinates of all 8 atoms:
1 Li 0.000 0.000 0.000
2 Li 0.500 0.500 0.500
3 Zr 0.000 0.500 0.746
4 Zr 0.500 0.000 0.254
5 In 0.000 0.500 0.253
6 In 0.500 0.000 0.747
7 Ir 0.000 0.000 0.500
8 Pt 0.500 0.500 0.000

Principal peaks in the range 5 to 70 degrees two-theta, most intense first:
- 39.0 deg, I 100
- 23.6 deg, I 51
- 46.1 deg, I 27
- 56.3 deg, I 17
- 61.9 deg, I 11

***

# Lu3In3IrPt
Simulated powder X-ray diffraction pattern, Cu Kα (λ = 1.5418 Å). Input: the PBE geometry in OQMD.

Atomic structure:
Unit cell a=7.614 b=7.614 c=3.545 alpha=90.00 beta=90.00 gamma=120.00
Fractional coordinates of all 8 atoms:
1 Lu 0.091 0.341 0.000
2 Lu 0.250 0.909 0.000
3 Lu 0.659 0.750 0.000
4 In 0.433 0.336 0.500
5 In 0.664 0.098 0.500
6 In 0.902 0.567 0.500
7 Ir 0.333 0.667 0.500
8 Pt 0.000 0.000 0.500

Principal peaks in the range 5 to 70 degrees two-theta, most intense first:
- 34.6 deg, I 100
- 37.2 deg, I 69
- 36.0 deg, I 68
- 13.4 deg, I 30
- 64.5 deg, I 25
- 56.6 deg, I 22
- 41.1 deg, I 20
- 67.3 deg, I 18
- 49.9 deg, I 17
- 51.6 deg, I 16

***

# Lu2ZrIn3Ir2
Simulated powder X-ray diffraction pattern, Cu Kα (λ = 1.5418 Å). Input: the PBE geometry in OQMD.

Atomic structure:
Unit cell a=3.427 b=7.578 c=7.578 alpha=119.30 beta=90.00 gamma=90.00
Fractional coordinates of all 8 atoms:
1 Lu 0.000 0.210 0.790
2 Lu 0.000 0.790 0.210
3 Zr 0.000 0.364 0.364
4 In 0.500 0.024 0.024
5 In 0.500 0.555 0.785
6 In 0.500 0.785 0.555
7 Ir 0.500 0.130 0.453
8 Ir 0.500 0.453 0.130

Principal peaks in the range 5 to 70 degrees two-theta, most intense first:
- 35.3 deg, I 100
- 37.8 deg, I 73
- 35.1 deg, I 57
- 36.1 deg, I 43
- 36.3 deg, I 40
- 35.8 deg, I 39
- 38.0 deg, I 37
- 13.5 deg, I 31
- 41.0 deg, I 26
- 53.5 deg, I 25